[1]
# BaMg6Al
Computed XRD peak list, copper Kα. Input: a DFT-relaxed cell (GGA-PBE, the Materials Project).
Peak positions follow from Bragg's law for the DFT cell and can differ from measured ones.

Principal peaks in the range 2θ from 5° to 70°, in order of falling intensity:
hkl	2theta	Rel. int.
1 2 2	36.25	100.0
1 1 3	29.72	94.5
1 0 4	30.94	83.0
1 1 1	23.70	79.8
0 1 1	15.51	75.3
0 2 2	31.31	57.5
2 0 0	36.08	46.8
0 1 5	34.70	42.2
0 0 2	12.47	42.2
0 1 3	23.59	39.3
1 0 2	21.80	34.2
2 2 2	48.51	33.0

Atomic structure:
```
data_BaMg6Al
_space_group_name_H-M_alt 'A m m 2'
_space_group_IT_number 38
_cell_length_a 4.9785
_cell_length_b 6.2414
_cell_length_c 14.2012
_cell_angle_alpha 90.00
_cell_angle_beta 90.00
_cell_angle_gamma 90.00
loop_
_space_group_symop_operation_xyz
'x,y,z'
'-x,-y,z'
'-x,y,z'
'x,-y,z'
'x,y+1/2,z+1/2'
'-x,-y+1/2,z+1/2'
'-x,y+1/2,z+1/2'
'x,-y+1/2,z+1/2'
loop_
_atom_site_label
_atom_site_fract_x
_atom_site_fract_y
_atom_site_fract_z
Ba1 0.0000 0.0000 0.0000
Mg1 0.0000 0.2393 0.7310
Mg2 0.5000 0.0000 0.1711
Mg3 0.5000 0.0000 0.5892
Mg4 0.5000 0.2471 0.3662
Al1 0.0000 0.0000 0.4038
```



[2]
# MnPt
Computed XRD peak list, copper Kα. Input: a DFT-relaxed cell (GGA-PBE, the Materials Project).
Peak positions follow from Bragg's law for the DFT cell and can differ from measured ones.

Principal peaks in the range 2θ from 5° to 70°, in order of falling intensity:
hkl	2theta	Rel. int.
1 0 1	39.99	100.0
1 1 0	43.53	39.3
1 0 0	30.40	30.7
0 0 1	25.35	24.0
1 1 1	51.05	15.6
2 0 0	63.26	12.8
0 0 2	52.07	11.6
1 0 2	61.49	9.2
2 0 1	69.29	6.6

Atomic structure:
```
data_MnPt
_space_group_name_H-M_alt 'P 4/m m m'
_space_group_IT_number 123
_space_group_name_Hall '-P 4 2'
_cell_length_a 2.9401
_cell_length_b 2.9401
_cell_length_c 3.5131
_cell_angle_alpha 90.00
_cell_angle_beta 90.00
_cell_angle_gamma 90.00
loop_
_atom_site_label
_atom_site_fract_x
_atom_site_fract_y
_atom_site_fract_z
Mn1 0.0000 0.0000 0.0000
Pt1 0.5000 0.5000 0.5000
```



[3]
# Pm2AgSn
Computed XRD peak list, copper Kα. Input: a DFT-relaxed cell (GGA-PBE, the Materials Project).
Peak positions follow from Bragg's law for the DFT cell and can differ from measured ones.

Principal peaks in the range 2θ from 5° to 70°, in order of falling intensity:
hkl	2theta	Rel. int.
2 2 0	33.37	100.0
4 2 2	59.63	37.5
4 0 0	47.91	18.1
2 0 0	23.42	1.6
4 2 0	53.99	0.7

Atomic structure:
```
data_Pm2AgSn
_space_group_name_H-M_alt 'F m -3 m'
_space_group_IT_number 225
_space_group_name_Hall '-F 4 2 3'
_cell_length_a 7.5956
_cell_length_b 7.5956
_cell_length_c 7.5956
_cell_angle_alpha 90.00
_cell_angle_beta 90.00
_cell_angle_gamma 90.00
loop_
_atom_site_label
_atom_site_fract_x
_atom_site_fract_y
_atom_site_fract_z
Pm1 0.2500 0.2500 0.2500
Ag1 0.0000 0.0000 0.0000
Sn1 0.0000 0.0000 0.5000
```



[4]
# SrSiO3
Computed XRD peak list, copper Kα. Input: a DFT-relaxed cell (GGA-PBE, the Materials Project).
Peak positions follow from Bragg's law for the DFT cell and can differ from measured ones.

Principal peaks in the range 2θ from 5° to 70°, in order of falling intensity:
hkl	2theta	Rel. int.
0 0 3	29.14	100.0
0 2 2	27.98	88.7
0 2 -1	32.58	44.1
1 2 2	27.86	43.9
2 1 0	26.72	40.0
2 0 1	27.75	37.5
-2 2 1	42.05	34.3
2 1 1	26.51	32.2
1 -1 1	25.06	28.0
-1 1 2	25.55	25.1
0 2 3	32.81	24.2
3 1 1	38.79	23.8

Atomic structure:
```
data_SrSiO3
_space_group_name_H-M_alt 'P -1'
_space_group_IT_number 2
_cell_length_a 7.0303
_cell_length_b 7.0413
_cell_length_c 9.8450
_cell_angle_alpha 69.08
_cell_angle_beta 83.51
_cell_angle_gamma 75.34
loop_
_space_group_symop_operation_xyz
'x,y,z'
'-x,-y,-z'
loop_
_atom_site_label
_atom_site_fract_x
_atom_site_fract_y
_atom_site_fract_z
Sr1 0.0831 0.4056 0.3399
Sr2 0.2383 0.2524 0.9966
Sr3 0.4148 0.7643 0.3455
Si1 0.0398 0.0209 0.7059
Si2 0.2690 0.7689 0.9782
Si3 0.3792 0.6687 0.7061
O1 0.0369 0.7366 0.3926
O2 0.1351 0.6017 0.0565
O3 0.1345 0.9945 0.8628
O4 0.1406 0.0976 0.2601
O5 0.2273 0.8997 0.6222
O6 0.2688 0.4798 0.7369
O7 0.3845 0.8360 0.0800
O8 0.4318 0.3657 0.4010
O9 0.4371 0.6879 0.8601
```



[5]
# YMg14CO16
Computed XRD peak list, copper Kα. Input: a DFT-relaxed cell (GGA-PBE, the Materials Project).
Peak positions follow from Bragg's law for the DFT cell and can differ from measured ones.

Principal peaks in the range 2θ from 5° to 70°, in order of falling intensity:
hkl	2theta	Rel. int.
0 0 4	40.82	100.0
2 0 0	42.14	95.6
0 4 0	41.99	91.2
2 0 4	60.11	54.4
0 4 4	60.00	52.5
2 4 0	61.00	51.4
1 2 2	35.87	44.5
0 1 1	14.36	29.1
1 1 1	25.29	24.2
0 1 0	10.28	20.4
1 1 2	30.85	15.6
0 1 2	22.61	12.0

Atomic structure:
```
data_YMg14CO16
_space_group_name_H-M_alt 'P m m m'
_space_group_IT_number 47
_cell_length_a 4.2891
_cell_length_b 8.6063
_cell_length_c 8.8419
_cell_angle_alpha 90.00
_cell_angle_beta 90.00
_cell_angle_gamma 90.00
loop_
_space_group_symop_operation_xyz
'x,y,z'
'-x,-y,-z'
'-x,-y,z'
'x,y,-z'
'x,-y,-z'
'-x,y,z'
'-x,y,-z'
'x,-y,z'
loop_
_atom_site_label
_atom_site_fract_x
_atom_site_fract_y
_atom_site_fract_z
Y1 0.0000 0.0000 0.0000
Mg1 0.0000 0.0000 0.5000
Mg2 0.0000 0.2650 0.2548
Mg3 0.0000 0.5000 0.5000
Mg4 0.5000 0.0000 0.2635
Mg5 0.5000 0.2555 0.5000
Mg6 0.5000 0.2688 0.0000
Mg7 0.5000 0.5000 0.2499
C1 0.0000 0.5000 0.0000
O1 0.0000 0.0000 0.2583
O2 0.0000 0.2452 0.5000
O3 0.0000 0.2568 0.0000
O4 0.0000 0.5000 0.2802
O5 0.5000 0.0000 0.0000
O6 0.5000 0.0000 0.5000
O7 0.5000 0.2493 0.2466
O8 0.5000 0.5000 0.0000
O9 0.5000 0.5000 0.5000
```



[6]
# F
Computed XRD peak list, copper Kα. Input: a DFT-relaxed cell (GGA-PBE, the Materials Project).
Peak positions follow from Bragg's law for the DFT cell and can differ from measured ones.

Principal peaks in the range 2θ from 5° to 70°, in order of falling intensity:
hkl	2theta	Rel. int.
1 1 1	32.20	100.0
2 0 0	31.40	59.3
1 1 2	40.35	31.0
0 0 4	56.43	18.1
0 0 2	27.38	12.3
3 1 2	62.04	12.1
0 2 3	66.98	6.7
2 0 2	42.14	6.4
0 2 1	52.04	6.0
2 0 4	66.08	4.3
4 0 0	65.54	4.3
1 1 4	64.78	2.9

Atomic structure:
```
data_F
_space_group_name_H-M_alt 'C m c e'
_space_group_IT_number 64
_space_group_name_Hall '-C 2ac 2'
_cell_length_a 5.6972
_cell_length_b 3.6499
_cell_length_c 6.5147
_cell_angle_alpha 90.00
_cell_angle_beta 90.00
_cell_angle_gamma 90.00
loop_
_atom_site_label
_atom_site_fract_x
_atom_site_fract_y
_atom_site_fract_z
F1 0.0000 0.0987 0.0946
```



[7]
# NbVCo6
Computed XRD peak list, copper Kα. Input: a DFT-relaxed cell (GGA-PBE, the Materials Project).
Peak positions follow from Bragg's law for the DFT cell and can differ from measured ones.

Principal peaks in the range 2θ from 5° to 70°, in order of falling intensity:
hkl	2theta	Rel. int.
2 0 8	45.47	100.0
0 2 10	47.93	83.7
0 0 18	44.05	51.1
2 0 2	41.12	35.1
0 2 4	42.02	22.2
0 2 16	57.68	12.1
2 0 14	54.08	9.7
2 0 20	65.82	7.4
1 0 4	22.28	3.0
1 1 6	38.15	2.6
1 0 10	31.53	2.4
0 0 6	14.36	1.8

Atomic structure:
```
data_NbVCo6
_space_group_name_H-M_alt 'R 3 m'
_space_group_IT_number 160
_space_group_name_Hall 'R 3 -2"'
_cell_length_a 5.1059
_cell_length_b 5.1059
_cell_length_c 37.0023
_cell_angle_alpha 90.00
_cell_angle_beta 90.00
_cell_angle_gamma 120.00
loop_
_atom_site_label
_atom_site_fract_x
_atom_site_fract_y
_atom_site_fract_z
Nb1 0.0000 0.0000 0.0000
Nb2 0.0000 0.0000 0.2170
Nb3 0.0000 0.0000 0.7180
V1 0.0000 0.0000 0.1084
V2 0.0000 0.0000 0.5001
V3 0.0000 0.0000 0.6082
Co1 0.0024 0.5012 0.6079
Co2 0.0056 0.5028 0.1100
Co3 0.0130 0.5065 0.4960
Co4 0.0130 0.5065 0.9958
Co5 0.1712 0.3424 0.5529
Co6 0.1738 0.3476 0.0549
```



[8]
# Ga9Rh2
Computed XRD peak list, copper Kα. Input: a DFT-relaxed cell (GGA-PBE, the Materials Project).
Peak positions follow from Bragg's law for the DFT cell and can differ from measured ones.

Principal peaks in the range 2θ from 5° to 70°, in order of falling intensity:
hkl	2theta	Rel. int.
1 2 3	44.27	100.0
2 1 2	37.82	72.3
1 2 -2	36.65	72.0
1 2 2	37.48	71.2
1 3 -1	45.35	68.6
2 1 -3	42.52	63.1
3 1 0	44.13	60.7
3 1 -1	44.82	50.1
2 1 1	32.93	44.7
0 0 4	40.52	32.7
0 1 4	42.97	32.3
1 2 -3	43.15	32.1

Atomic structure:
```
data_Ga9Rh2
_space_group_name_H-M_alt 'P 1 c 1'
_space_group_IT_number 7
_cell_length_a 6.5016
_cell_length_b 6.4615
_cell_length_c 8.9172
_cell_angle_alpha 90.00
_cell_angle_beta 93.07
_cell_angle_gamma 90.00
loop_
_space_group_symop_operation_xyz
'x,y,z'
'x,-y,z+1/2'
loop_
_atom_site_label
_atom_site_fract_x
_atom_site_fract_y
_atom_site_fract_z
Ga1 0.0000 0.0527 0.0000
Ga2 0.0028 0.2607 0.7242
Ga3 0.1838 0.3433 0.4526
Ga4 0.3112 0.0477 0.2590
Ga5 0.3689 0.2613 0.9610
Ga6 0.5081 0.4721 0.7083
Ga7 0.6005 0.1345 0.5354
Ga8 0.7885 0.4455 0.9898
Ga9 0.8020 0.2401 0.2658
Rh1 0.1423 0.3792 0.1602
Rh2 0.6627 0.1233 0.8231
```